Diffraction record for Li2Ti4NiP4O20. The powder diffraction line list is theoretical, not measured: it uses the PBE+U geometry in Alexandria and Cu Ka.
Neutral-atom scattering factors, no anomalous dispersion.

Peak list (6 most intense, 2θ = 5–70°, in order of rising 2θ)
(hkl)	2θ (°)	d_spacing	I (rel.)
1 1 0	18.38	4.826	34
0 1 -2	26.82	3.324	100
0 2 1	27.04	3.297	33
2 0 0	27.58	3.234	49
1 -3 0	39.12	2.303	20
4 0 0	56.94	1.617	17

a b c (Å): 6.469 7.360 7.449
angles (deg): 90.15 90.30 90.79
Sites, in units of the cell vectors:
Li (0.000, 0.000, 0.000)
Li (0.500, 0.000, 0.000)
Ti (0.236, 0.776, 0.663)
Ti (0.250, 0.719, 0.163)
Ti (0.750, 0.281, 0.837)
Ti (0.764, 0.224, 0.337)
Ni (0.500, 0.500, 0.500)
P (0.253, 0.122, 0.374)
P (0.254, 0.372, 0.873)
P (0.746, 0.628, 0.127)
P (0.747, 0.878, 0.626)
O (0.057, 0.239, 0.372)
O (0.057, 0.251, 0.861)
O (0.244, 0.488, 0.047)
O (0.244, 0.842, 0.888)
O (0.255, 0.997, 0.205)
O (0.259, 0.009, 0.548)
O (0.273, 0.500, 0.707)
O (0.277, 0.655, 0.386)
O (0.442, 0.253, 0.368)
O (0.443, 0.247, 0.882)
O (0.557, 0.753, 0.118)
O (0.558, 0.747, 0.632)
O (0.723, 0.345, 0.614)
O (0.727, 0.500, 0.293)
O (0.741, 0.991, 0.452)
O (0.745, 0.003, 0.795)
O (0.756, 0.158, 0.112)
O (0.756, 0.512, 0.953)
O (0.943, 0.749, 0.139)
O (0.943, 0.761, 0.628)